The following is a calculated X-ray powder pattern of Er2MgGa2Ir5. It was derived from the GGA-PBE geometry in Alexandria, using CuKα.
Intensities are scaled so that the largest is 100.

```
data_Er2MgGa2Ir5
_chemical_formula_sum 'Er4 Mg2 Ga4 Ir10'
_space_group_name_H-M_alt 'P 1'
_space_group_IT_number 1
_space_group_name_Hall 'P 1'
_cell_length_a 9.7544
_cell_length_b 9.7544
_cell_length_c 3.5934
_cell_angle_alpha 90.00
_cell_angle_beta 90.00
_cell_angle_gamma 90.00
loop_
_atom_site_label
_atom_site_type_symbol
_atom_site_fract_x
_atom_site_fract_y
_atom_site_fract_z
Er1 Er 0.1738 0.3262 0.0000
Er2 Er 0.3262 0.8262 0.0000
Er3 Er 0.6738 0.1738 0.0000
Er4 Er 0.8262 0.6738 0.0000
Mg1 Mg 0.0000 0.0000 0.0000
Mg2 Mg 0.5000 0.5000 0.0000
Ga1 Ga 0.1258 0.6258 0.0000
Ga2 Ga 0.3742 0.1258 0.0000
Ga3 Ga 0.6258 0.8742 0.0000
Ga4 Ga 0.8742 0.3742 0.0000
Ir1 Ir 0.0000 0.5000 0.5000
Ir2 Ir 0.0660 0.7950 0.5000
Ir3 Ir 0.2050 0.0660 0.5000
Ir4 Ir 0.2950 0.5660 0.5000
Ir5 Ir 0.4340 0.2950 0.5000
Ir6 Ir 0.5000 0.0000 0.5000
Ir7 Ir 0.5660 0.7050 0.5000
Ir8 Ir 0.7050 0.4340 0.5000
Ir9 Ir 0.7950 0.9340 0.5000
Ir10 Ir 0.9340 0.2050 0.5000
```

Largest 6 diffraction maxima, low angle first, 2θ = 10–80°:
| Position (°2θ) | Rel. int. |
| --- | --- |
| 32.3 | 37.2 |
| 38.0 | 69.6 |
| 38.5 | 100.0 |
| 39.2 | 29.8 |
| 41.8 | 47.5 |
| 65.9 | 32.0 |

***

The following is a calculated X-ray powder pattern of ErGa4IrPd2. It was derived from the GGA-PBE geometry in Alexandria, using CuKα.
Intensities are scaled so that the largest is 100.

```
data_ErGa4IrPd2
_chemical_formula_sum 'Er1 Ga4 Ir1 Pd2'
_space_group_name_H-M_alt 'P 1'
_space_group_IT_number 1
_space_group_name_Hall 'P 1'
_cell_length_a 8.9593
_cell_length_b 8.9593
_cell_length_c 8.9593
_cell_angle_alpha 27.66
_cell_angle_beta 27.66
_cell_angle_gamma 27.66
loop_
_atom_site_label
_atom_site_type_symbol
_atom_site_fract_x
_atom_site_fract_y
_atom_site_fract_z
Er1 Er 0.0000 0.0000 0.0000
Ga1 Ga 0.1332 0.1332 0.1332
Ga2 Ga 0.3971 0.3971 0.3971
Ga3 Ga 0.6029 0.6029 0.6029
Ga4 Ga 0.8668 0.8668 0.8668
Ir1 Ir 0.5000 0.5000 0.5000
Pd1 Pd 0.2409 0.2409 0.2409
Pd2 Pd 0.7591 0.7591 0.7591
```

Largest 6 diffraction maxima, low angle first, 2θ = 10–80°:
| Position (°2θ) | Rel. int. |
| --- | --- |
| 10.3 | 19.6 |
| 27.7 | 33.1 |
| 36.9 | 100.0 |
| 42.2 | 91.7 |
| 57.3 | 27.7 |
| 73.6 | 26.0 |

***

The following is a calculated X-ray powder pattern of PmErGa2Ir2. It was derived from the GGA-PBE geometry in Alexandria, using CuKα.
Intensities are scaled so that the largest is 100.

```
data_PmErGa2Ir2
_chemical_formula_sum 'Pm1 Er1 Ga2 Ir2'
_space_group_name_H-M_alt 'P 1'
_space_group_IT_number 1
_space_group_name_Hall 'P 1'
_cell_length_a 4.4145
_cell_length_b 4.4145
_cell_length_c 7.1380
_cell_angle_alpha 90.00
_cell_angle_beta 90.00
_cell_angle_gamma 120.00
loop_
_atom_site_label
_atom_site_type_symbol
_atom_site_fract_x
_atom_site_fract_y
_atom_site_fract_z
Pm1 Pm 0.0000 0.0000 0.0000
Er1 Er 0.0000 0.0000 0.5000
Ga1 Ga 0.3333 0.6667 0.2714
Ga2 Ga 0.6667 0.3333 0.7286
Ir1 Ir 0.3333 0.6667 0.7295
Ir2 Ir 0.6667 0.3333 0.2705
```

Largest 6 diffraction maxima, low angle first, 2θ = 10–80°:
| Position (°2θ) | Rel. int. |
| --- | --- |
| 26.4 | 23.7 |
| 34.4 | 100.0 |
| 40.9 | 67.6 |
| 54.5 | 27.0 |
| 67.5 | 25.8 |
| 70.3 | 25.2 |

***

The following is a calculated X-ray powder pattern of ErGa4Ir2Pt. It was derived from the GGA-PBE geometry in Alexandria, using CuKα.
Intensities are scaled so that the largest is 100.

```
data_ErGa4Ir2Pt
_chemical_formula_sum 'Er1 Ga4 Ir2 Pt1'
_space_group_name_H-M_alt 'P 1'
_space_group_IT_number 1
_space_group_name_Hall 'P 1'
_cell_length_a 8.9688
_cell_length_b 8.9688
_cell_length_c 8.9688
_cell_angle_alpha 27.54
_cell_angle_beta 27.54
_cell_angle_gamma 27.54
loop_
_atom_site_label
_atom_site_type_symbol
_atom_site_fract_x
_atom_site_fract_y
_atom_site_fract_z
Er1 Er 0.0000 0.0000 0.0000
Ga1 Ga 0.1297 0.1297 0.1297
Ga2 Ga 0.3973 0.3973 0.3973
Ga3 Ga 0.6027 0.6027 0.6027
Ga4 Ga 0.8703 0.8703 0.8703
Ir1 Ir 0.2527 0.2527 0.2527
Ir2 Ir 0.7473 0.7473 0.7473
Pt1 Pt 0.5000 0.5000 0.5000
```

Largest 6 diffraction maxima, low angle first, 2θ = 10–80°:
| Position (°2θ) | Rel. int. |
| --- | --- |
| 27.8 | 50.7 |
| 36.9 | 100.0 |
| 42.3 | 82.2 |
| 57.4 | 28.0 |
| 61.1 | 19.8 |
| 73.9 | 26.5 |

***

The following is a calculated X-ray powder pattern of Er2Ga4Ir3Ru. It was derived from the GGA-PBE geometry in Alexandria, using CuKα.
Intensities are scaled so that the largest is 100.

```
data_Er2Ga4Ir3Ru
_chemical_formula_sum 'Er2 Ga4 Ir3 Ru1'
_space_group_name_H-M_alt 'P 1'
_space_group_IT_number 1
_space_group_name_Hall 'P 1'
_cell_length_a 4.2992
_cell_length_b 4.2992
_cell_length_c 9.9174
_cell_angle_alpha 90.00
_cell_angle_beta 90.00
_cell_angle_gamma 90.00
loop_
_atom_site_label
_atom_site_type_symbol
_atom_site_fract_x
_atom_site_fract_y
_atom_site_fract_z
Er1 Er 0.0000 0.5000 0.2240
Er2 Er 0.5000 0.0000 0.7760
Ga1 Ga 0.0000 0.0000 0.5000
Ga2 Ga 0.0000 0.5000 0.8748
Ga3 Ga 0.5000 0.0000 0.1252
Ga4 Ga 0.5000 0.5000 0.5000
Ir1 Ir 0.0000 0.0000 0.0000
Ir2 Ir 0.0000 0.5000 0.6299
Ir3 Ir 0.5000 0.0000 0.3701
Ru1 Ru 0.5000 0.5000 0.0000
```

Largest 6 diffraction maxima, low angle first, 2θ = 10–80°:
| Position (°2θ) | Rel. int. |
| --- | --- |
| 27.5 | 36.0 |
| 34.2 | 70.5 |
| 34.6 | 100.0 |
| 42.0 | 88.1 |
| 47.3 | 34.2 |
| 55.3 | 38.1 |

***

The following is a calculated X-ray powder pattern of ErGaSi2Ir5. It was derived from the GGA-PBE geometry in Alexandria, using CuKα.
Intensities are scaled so that the largest is 100.

```
data_ErGaSi2Ir5
_chemical_formula_sum 'Er1 Ga1 Si2 Ir5'
_space_group_name_H-M_alt 'P 1'
_space_group_IT_number 1
_space_group_name_Hall 'P 1'
_cell_length_a 4.0056
_cell_length_b 4.0056
_cell_length_c 10.2622
_cell_angle_alpha 90.00
_cell_angle_beta 90.00
_cell_angle_gamma 90.00
loop_
_atom_site_label
_atom_site_type_symbol
_atom_site_fract_x
_atom_site_fract_y
_atom_site_fract_z
Er1 Er 0.0000 0.0000 0.0000
Ga1 Ga 0.0000 0.0000 0.5000
Si1 Si 0.5000 0.5000 0.2263
Si2 Si 0.5000 0.5000 0.7737
Ir1 Ir 0.0000 0.5000 0.3469
Ir2 Ir 0.0000 0.5000 0.6531
Ir3 Ir 0.5000 0.0000 0.3469
Ir4 Ir 0.5000 0.0000 0.6531
Ir5 Ir 0.5000 0.5000 0.0000
```

Largest 6 diffraction maxima, low angle first, 2θ = 10–80°:
| Position (°2θ) | Rel. int. |
| --- | --- |
| 26.0 | 84.0 |
| 32.8 | 100.0 |
| 36.2 | 59.5 |
| 45.3 | 61.1 |
| 47.8 | 74.6 |
| 53.0 | 49.4 |

***

The following is a calculated X-ray powder pattern of La2ErGa2. It was derived from the GGA-PBE geometry in Alexandria, using CuKα.
Intensities are scaled so that the largest is 100.

```
data_La2ErGa2
_chemical_formula_sum 'La4 Er2 Ga4'
_space_group_name_H-M_alt 'P 1'
_space_group_IT_number 1
_space_group_name_Hall 'P 1'
_cell_length_a 4.7963
_cell_length_b 6.7867
_cell_length_c 8.5207
_cell_angle_alpha 90.00
_cell_angle_beta 90.00
_cell_angle_gamma 90.00
loop_
_atom_site_label
_atom_site_type_symbol
_atom_site_fract_x
_atom_site_fract_y
_atom_site_fract_z
La1 La 0.0000 0.0000 0.1936
La2 La 0.0000 0.0000 0.8064
La3 La 0.5000 0.5000 0.3064
La4 La 0.5000 0.5000 0.6936
Er1 Er 0.0000 0.5000 0.0000
Er2 Er 0.5000 0.0000 0.5000
Ga1 Ga 0.0000 0.2900 0.5000
Ga2 Ga 0.0000 0.7100 0.5000
Ga3 Ga 0.5000 0.2100 0.0000
Ga4 Ga 0.5000 0.7900 0.0000
```

Largest 6 diffraction maxima, low angle first, 2θ = 10–80°:
| Position (°2θ) | Rel. int. |
| --- | --- |
| 31.0 | 100.0 |
| 34.0 | 70.6 |
| 34.2 | 31.0 |
| 37.5 | 30.7 |
| 51.7 | 37.4 |
| 64.2 | 23.2 |

***

The following is a calculated X-ray powder pattern of La5Er4Ga4. It was derived from the GGA-PBE geometry in Alexandria, using CuKα.
Intensities are scaled so that the largest is 100.

```
data_La5Er4Ga4
_chemical_formula_sum 'La5 Er4 Ga4'
_space_group_name_H-M_alt 'P 1'
_space_group_IT_number 1
_space_group_name_Hall 'P 1'
_cell_length_a 9.1403
_cell_length_b 9.1403
_cell_length_c 9.1403
_cell_angle_alpha 94.07
_cell_angle_beta 94.07
_cell_angle_gamma 149.11
loop_
_atom_site_label
_atom_site_type_symbol
_atom_site_fract_x
_atom_site_fract_y
_atom_site_fract_z
La1 La 0.0000 0.0000 0.0000
La2 La 0.3039 0.6171 0.9210
La3 La 0.3829 0.3039 0.6868
La4 La 0.6171 0.6961 0.3132
La5 La 0.6961 0.3829 0.0790
Er1 Er 0.0974 0.4012 0.4985
Er2 Er 0.4012 0.9026 0.3038
Er3 Er 0.5988 0.0974 0.6962
Er4 Er 0.9026 0.5988 0.5015
Ga1 Ga 0.0840 0.7553 0.8393
Ga2 Ga 0.2447 0.0840 0.3286
Ga3 Ga 0.7553 0.9160 0.6714
Ga4 Ga 0.9160 0.2447 0.1607
```

Largest 6 diffraction maxima, low angle first, 2θ = 10–80°:
| Position (°2θ) | Rel. int. |
| --- | --- |
| 28.2 | 18.0 |
| 31.8 | 100.0 |
| 36.8 | 21.9 |
| 36.9 | 21.6 |
| 53.1 | 15.3 |
| 63.3 | 16.0 |

***

The following is a calculated X-ray powder pattern of LaEr2Ga2Pt7. It was derived from the GGA-PBE geometry in Alexandria, using CuKα.
Intensities are scaled so that the largest is 100.

```
data_LaEr2Ga2Pt7
_chemical_formula_sum 'La1 Er2 Ga2 Pt7'
_space_group_name_H-M_alt 'P 1'
_space_group_IT_number 1
_space_group_name_Hall 'P 1'
_cell_length_a 4.0757
_cell_length_b 4.0757
_cell_length_c 14.2939
_cell_angle_alpha 97.11
_cell_angle_beta 97.11
_cell_angle_gamma 89.24
loop_
_atom_site_label
_atom_site_type_symbol
_atom_site_fract_x
_atom_site_fract_y
_atom_site_fract_z
La1 La 0.0000 0.0000 0.0000
Er1 Er 0.1358 0.1358 0.3622
Er2 Er 0.8642 0.8642 0.6378
Ga1 Ga 0.3863 0.3863 0.7351
Ga2 Ga 0.6137 0.6137 0.2649
Pt1 Pt 0.0704 0.5701 0.1629
Pt2 Pt 0.3512 0.3512 0.5636
Pt3 Pt 0.4299 0.9296 0.8371
Pt4 Pt 0.5000 0.5000 0.0000
Pt5 Pt 0.5701 0.0704 0.1629
Pt6 Pt 0.6488 0.6488 0.4364
Pt7 Pt 0.9296 0.4299 0.8371
```

Largest 6 diffraction maxima, low angle first, 2θ = 10–80°:
| Position (°2θ) | Rel. int. |
| --- | --- |
| 31.7 | 45.7 |
| 31.9 | 32.5 |
| 33.8 | 80.5 |
| 35.9 | 100.0 |
| 36.8 | 85.8 |
| 44.5 | 95.6 |

***

The following is a calculated X-ray powder pattern of LiEr2Ga6. It was derived from the GGA-PBE geometry in Alexandria, using CuKα.
Intensities are scaled so that the largest is 100.

```
data_LiEr2Ga6
_chemical_formula_sum 'Li1 Er2 Ga6'
_space_group_name_H-M_alt 'P 1'
_space_group_IT_number 1
_space_group_name_Hall 'P 1'
_cell_length_a 7.7137
_cell_length_b 7.7137
_cell_length_c 3.3626
_cell_angle_alpha 90.00
_cell_angle_beta 90.00
_cell_angle_gamma 120.00
loop_
_atom_site_label
_atom_site_type_symbol
_atom_site_fract_x
_atom_site_fract_y
_atom_site_fract_z
Li1 Li 0.0000 0.0000 0.0000
Er1 Er 0.3333 0.6667 0.0000
Er2 Er 0.6667 0.3333 0.0000
Ga1 Ga 0.0000 0.3292 0.5000
Ga2 Ga 0.0000 0.6708 0.5000
Ga3 Ga 0.3292 0.0000 0.5000
Ga4 Ga 0.3292 0.3292 0.5000
Ga5 Ga 0.6708 0.0000 0.5000
Ga6 Ga 0.6708 0.6708 0.5000
```

Largest 6 diffraction maxima, low angle first, 2θ = 10–80°:
| Position (°2θ) | Rel. int. |
| --- | --- |
| 13.3 | 39.6 |
| 35.4 | 100.0 |
| 40.5 | 67.0 |
| 54.9 | 29.0 |
| 70.1 | 25.8 |
| 70.4 | 27.2 |

***

The following is a calculated X-ray powder pattern of LiEr3Ga12. It was derived from the GGA-PBE geometry in Alexandria, using CuKα.
Intensities are scaled so that the largest is 100.

```
data_LiEr3Ga12
_chemical_formula_sum 'Li1 Er3 Ga12'
_space_group_name_H-M_alt 'P 1'
_space_group_IT_number 1
_space_group_name_Hall 'P 1'
_cell_length_a 4.2387
_cell_length_b 4.2387
_cell_length_c 16.5840
_cell_angle_alpha 90.00
_cell_angle_beta 90.00
_cell_angle_gamma 90.00
loop_
_atom_site_label
_atom_site_type_symbol
_atom_site_fract_x
_atom_site_fract_y
_atom_site_fract_z
Li1 Li 0.0000 0.0000 0.0000
Er1 Er 0.0000 0.0000 0.2414
Er2 Er 0.0000 0.0000 0.5000
Er3 Er 0.0000 0.0000 0.7586
Ga1 Ga 0.0000 0.5000 0.1112
Ga2 Ga 0.0000 0.5000 0.3709
Ga3 Ga 0.0000 0.5000 0.6291
Ga4 Ga 0.0000 0.5000 0.8888
Ga5 Ga 0.5000 0.0000 0.1112
Ga6 Ga 0.5000 0.0000 0.3709
Ga7 Ga 0.5000 0.0000 0.6291
Ga8 Ga 0.5000 0.0000 0.8888
Ga9 Ga 0.5000 0.5000 0.0000
Ga10 Ga 0.5000 0.5000 0.2493
Ga11 Ga 0.5000 0.5000 0.5000
Ga12 Ga 0.5000 0.5000 0.7507
```

Largest 6 diffraction maxima, low angle first, 2θ = 10–80°:
| Position (°2θ) | Rel. int. |
| --- | --- |
| 37.0 | 100.0 |
| 42.7 | 34.8 |
| 43.7 | 13.9 |
| 61.9 | 11.3 |
| 62.7 | 20.4 |
| 74.4 | 25.0 |

***

The following is a calculated X-ray powder pattern of LiEr2Ga9. It was derived from the GGA-PBE geometry in Alexandria, using CuKα.
Intensities are scaled so that the largest is 100.

```
data_LiEr2Ga9
_chemical_formula_sum 'Li1 Er2 Ga9'
_space_group_name_H-M_alt 'P 1'
_space_group_IT_number 1
_space_group_name_Hall 'P 1'
_cell_length_a 4.2135
_cell_length_b 4.2135
_cell_length_c 12.4552
_cell_angle_alpha 90.00
_cell_angle_beta 90.00
_cell_angle_gamma 90.00
loop_
_atom_site_label
_atom_site_type_symbol
_atom_site_fract_x
_atom_site_fract_y
_atom_site_fract_z
Li1 Li 0.0000 0.0000 0.0000
Er1 Er 0.0000 0.0000 0.3245
Er2 Er 0.0000 0.0000 0.6755
Ga1 Ga 0.0000 0.5000 0.1500
Ga2 Ga 0.0000 0.5000 0.5000
Ga3 Ga 0.0000 0.5000 0.8500
Ga4 Ga 0.5000 0.0000 0.1500
Ga5 Ga 0.5000 0.0000 0.5000
Ga6 Ga 0.5000 0.0000 0.8500
Ga7 Ga 0.5000 0.5000 0.0000
Ga8 Ga 0.5000 0.5000 0.3361
Ga9 Ga 0.5000 0.5000 0.6639
```

Largest 6 diffraction maxima, low angle first, 2θ = 10–80°:
| Position (°2θ) | Rel. int. |
| --- | --- |
| 37.1 | 100.0 |
| 42.9 | 34.5 |
| 43.6 | 15.1 |
| 62.3 | 11.1 |
| 62.8 | 18.9 |
| 74.8 | 24.8 |

***

The following is a calculated X-ray powder pattern of Li2ErGa2Pd2. It was derived from the GGA-PBE geometry in Alexandria, using CuKα.
Intensities are scaled so that the largest is 100.

```
data_Li2ErGa2Pd2
_chemical_formula_sum 'Li4 Er2 Ga4 Pd4'
_space_group_name_H-M_alt 'P 1'
_space_group_IT_number 1
_space_group_name_Hall 'P 1'
_cell_length_a 7.7432
_cell_length_b 4.4367
_cell_length_c 7.4317
_cell_angle_alpha 90.00
_cell_angle_beta 109.58
_cell_angle_gamma 90.00
loop_
_atom_site_label
_atom_site_type_symbol
_atom_site_fract_x
_atom_site_fract_y
_atom_site_fract_z
Li1 Li 0.0767 0.0000 0.2247
Li2 Li 0.4233 0.5000 0.7753
Li3 Li 0.5767 0.5000 0.2247
Li4 Li 0.9233 0.0000 0.7753
Er1 Er 0.0000 0.5000 0.5000
Er2 Er 0.5000 0.0000 0.5000
Ga1 Ga 0.1396 0.5000 0.9205
Ga2 Ga 0.3604 0.0000 0.0795
Ga3 Ga 0.6396 0.0000 0.9205
Ga4 Ga 0.8604 0.5000 0.0795
Pd1 Pd 0.2365 0.0000 0.7162
Pd2 Pd 0.2635 0.5000 0.2838
Pd3 Pd 0.7365 0.5000 0.7162
Pd4 Pd 0.7635 0.0000 0.2838
```

Largest 6 diffraction maxima, low angle first, 2θ = 10–80°:
| Position (°2θ) | Rel. int. |
| --- | --- |
| 23.5 | 100.0 |
| 28.7 | 40.1 |
| 37.9 | 64.1 |
| 40.4 | 85.0 |
| 40.7 | 41.8 |
| 41.8 | 53.4 |

***

The following is a calculated X-ray powder pattern of LiErGa4Rh2. It was derived from the GGA-PBE geometry in Alexandria, using CuKα.
Intensities are scaled so that the largest is 100.

```
data_LiErGa4Rh2
_chemical_formula_sum 'Li1 Er1 Ga4 Rh2'
_space_group_name_H-M_alt 'P 1'
_space_group_IT_number 1
_space_group_name_Hall 'P 1'
_cell_length_a 8.5866
_cell_length_b 8.5866
_cell_length_c 8.5866
_cell_angle_alpha 28.80
_cell_angle_beta 28.80
_cell_angle_gamma 28.80
loop_
_atom_site_label
_atom_site_type_symbol
_atom_site_fract_x
_atom_site_fract_y
_atom_site_fract_z
Li1 Li 0.0000 0.0000 0.0000
Er1 Er 0.5000 0.5000 0.5000
Ga1 Ga 0.1026 0.1026 0.1026
Ga2 Ga 0.3692 0.3692 0.3692
Ga3 Ga 0.6308 0.6308 0.6308
Ga4 Ga 0.8974 0.8974 0.8974
Rh1 Rh 0.2616 0.2616 0.2616
Rh2 Rh 0.7384 0.7384 0.7384
```

Largest 6 diffraction maxima, low angle first, 2θ = 10–80°:
| Position (°2θ) | Rel. int. |
| --- | --- |
| 24.3 | 23.6 |
| 30.2 | 49.1 |
| 38.0 | 90.5 |
| 42.3 | 100.0 |
| 58.2 | 25.7 |
| 74.5 | 24.3 |